Simulated X-ray powder pattern
Compound: Sm2Dy6Mg
Radiation: a wavelength of 1.5418 Å
Structure: DFT lattice parameters and positions (GGA-PBE)

Top 10 peaks for 5° ≤ 2θ ≤ 70°, sorted by position:
| 2theta | Rel. int. |
| --- | --- |
| 11.86 | 5 |
| 25.89 | 4 |
| 31.02 | 100 |
| 35.70 | 17 |
| 36.11 | 33 |
| 51.69 | 24 |
| 51.99 | 12 |
| 61.24 | 14 |
| 61.78 | 28 |
| 64.67 | 12 |

Structure:
```
Sm2Dy6Mg
1.0
10.554 0.000 0.000
0.000 10.554 0.000
0.000 0.000 5.030
Sm Dy Mg
4 12 2
Direct
0.165 0.165 0.000
0.335 0.665 0.500
0.665 0.335 0.500
0.835 0.835 0.000
0.000 0.334 0.500
0.000 0.666 0.500
0.166 0.500 0.000
0.167 0.833 0.000
0.333 0.333 0.500
0.334 0.000 0.500
0.500 0.166 0.000
0.500 0.834 0.000
0.666 0.000 0.500
0.667 0.667 0.500
0.833 0.167 0.000
0.834 0.500 0.000
0.000 0.000 0.500
0.500 0.500 0.000
```


Simulated X-ray powder pattern
Compound: Sm4DyMg
Radiation: a wavelength of 1.5418 Å
Structure: DFT lattice parameters and positions (GGA-PBE)

Top 10 peaks for 5° ≤ 2θ ≤ 70°, sorted by position:
| 2theta | Rel. int. |
| --- | --- |
| 28.91 | 16 |
| 29.96 | 26 |
| 31.19 | 31 |
| 32.94 | 100 |
| 37.44 | 15 |
| 43.05 | 11 |
| 51.19 | 15 |
| 56.63 | 21 |
| 61.17 | 18 |
| 62.32 | 11 |

Structure:
```
Sm4DyMg
1.0
5.341 -3.093 0.000
5.341 3.093 0.000
-3.553 0.000 11.469
Sm Dy Mg
8 2 2
Direct
0.162 0.675 0.501
0.252 0.412 0.750
0.325 0.838 0.999
0.412 0.252 0.250
0.588 0.748 0.750
0.675 0.162 0.001
0.748 0.588 0.250
0.838 0.325 0.499
0.000 0.500 0.000
0.500 0.000 0.500
0.084 0.916 0.250
0.916 0.084 0.750
```


Please write out number 2 again, unchanged.
Simulated X-ray powder pattern
Compound: Sm4DyMg
Radiation: a wavelength of 1.5418 Å
Structure: DFT lattice parameters and positions (GGA-PBE)

Top 10 peaks for 5° ≤ 2θ ≤ 70°, sorted by position:
| 2theta | Rel. int. |
| --- | --- |
| 28.91 | 16 |
| 29.96 | 26 |
| 31.19 | 31 |
| 32.94 | 100 |
| 37.44 | 15 |
| 43.05 | 11 |
| 51.19 | 15 |
| 56.63 | 21 |
| 61.17 | 18 |
| 62.32 | 11 |

Structure:
```
Sm4DyMg
1.0
5.341 -3.093 0.000
5.341 3.093 0.000
-3.553 0.000 11.469
Sm Dy Mg
8 2 2
Direct
0.162 0.675 0.501
0.252 0.412 0.750
0.325 0.838 0.999
0.412 0.252 0.250
0.588 0.748 0.750
0.675 0.162 0.001
0.748 0.588 0.250
0.838 0.325 0.499
0.000 0.500 0.000
0.500 0.000 0.500
0.084 0.916 0.250
0.916 0.084 0.750
```